Calculated powder X-ray diffraction pattern of MgTiO2 for Cu Kα (weighted mean of Kα1 and Kα2), from a cell relaxed with PBE.
Lines closer than 0.1° are merged.

Cell and atoms:
```
data_MgTiO2
_symmetry_space_group_name_H-M 'P 1'
_symmetry_Int_Tables_number 1
_cell_length_a 5.5530
_cell_length_b 5.5530
_cell_length_c 5.5530
_cell_angle_alpha 30.30
_cell_angle_beta 30.30
_cell_angle_gamma 30.30
loop_
_symmetry_equiv_pos_as_xyz
'x,y,z'
loop_
_atom_site_label
_atom_site_fract_x
_atom_site_fract_y
_atom_site_fract_z
Mg1 0.0000 0.0000 0.0000
Ti1 0.5000 0.5000 0.5000
O1 0.2571 0.2571 0.2571
O2 0.7429 0.7429 0.7429
```

Top 8 peaks for 5° ≤ 2θ ≤ 70°, in order of falling intensity:
d (Å), two_theta, Rel. int.
2.124, 42.57, 100
1.558, 59.32, 31
1.451, 64.18, 25
2.396, 37.53, 22
5.294, 16.75, 11
2.647, 33.86, 10
2.483, 36.18, 8
1.971, 46.05, 6



Calculated powder X-ray diffraction pattern of MgTi4O8 for Cu Kα (weighted mean of Kα1 and Kα2), from a cell relaxed with PBE.
Lines closer than 0.1° are merged.

Cell and atoms:
```
data_MgTi4O8
_symmetry_space_group_name_H-M 'P 1'
_symmetry_Int_Tables_number 1
_cell_length_a 5.3064
_cell_length_b 5.3797
_cell_length_c 5.3863
_cell_angle_alpha 73.35
_cell_angle_beta 71.81
_cell_angle_gamma 71.03
loop_
_symmetry_equiv_pos_as_xyz
'x,y,z'
loop_
_atom_site_label
_atom_site_fract_x
_atom_site_fract_y
_atom_site_fract_z
Mg1 0.0000 0.0000 0.0000
Ti1 0.2540 0.8745 0.4772
Ti2 0.4768 0.2648 0.8663
Ti3 0.7443 0.7360 0.7379
Ti4 0.8696 0.4977 0.2391
O1 0.0354 0.6988 0.3684
O2 0.1131 0.6147 0.8618
O3 0.1736 0.1813 0.1809
O4 0.3732 0.0289 0.6973
O5 0.5624 0.5569 0.5506
O6 0.6259 0.8679 0.1009
O7 0.6911 0.3798 0.0249
O8 0.8641 0.0837 0.6414
```

Top 8 peaks for 5° ≤ 2θ ≤ 70°, in order of falling intensity:
d (Å), two_theta, Rel. int.
3.932, 22.62, 100
1.966, 46.18, 66
3.103, 28.77, 60
3.215, 27.75, 60
3.133, 28.49, 58
1.846, 49.36, 50
1.828, 49.90, 47
1.782, 51.25, 42